The following is a theoretical powder XRD pattern of Ga5Pt. It was derived from a structure optimized by DFT (PBE), using a wavelength of 1.5418 Å.

```
48
Lattice="6.4981 0.0000 0.0000 0.0000 15.9732 0.0000 -3.0851 0.0000 8.3999" Properties=species:S:1:pos:R:3 pbc="T T T"
Ga -1.0846 15.9679 2.9985
Ga -1.0846 7.9919 2.9985
Ga -1.9029 2.6820 6.5177
Ga -1.9029 5.3046 6.5177
Ga -0.3034 2.6787 2.2266
Ga -0.3034 5.3079 2.2266
Ga 0.5619 9.0984 0.2093
Ga 0.5619 14.8614 0.2093
Ga -0.3151 10.7040 4.6376
Ga -0.3151 13.2558 4.6376
Ga 0.1814 2.6340 4.8392
Ga 0.1814 5.3526 4.8392
Ga -0.8516 11.9799 7.8630
Ga 1.7934 2.6416 0.6769
Ga 1.7934 5.3450 0.6769
Ga 1.3853 11.9799 1.8443
Ga 0.2241 0.9561 7.2442
Ga 0.2241 7.0305 7.2442
Ga 1.7969 0.9160 3.0344
Ga 1.7969 7.0705 3.0344
Ga 1.6161 8.9026 5.3655
Ga 1.6161 15.0571 5.3655
Ga 3.1890 8.9427 1.1557
Ga 3.1890 15.0171 1.1557
Ga 2.0277 3.9933 6.5556
Ga 1.6197 10.6282 7.7230
Ga 1.6197 13.3315 7.7230
Ga 4.2646 3.9933 0.5369
Ga 3.2316 10.6206 3.5607
Ga 3.2316 13.3392 3.5607
Ga 3.7282 2.7174 3.7623
Ga 3.7282 5.2692 3.7623
Ga 2.8512 1.1118 8.1906
Ga 2.8512 6.8748 8.1906
Ga 3.7165 10.6653 6.1733
Ga 3.7165 13.2945 6.1733
Ga 5.3159 10.6686 1.8822
Ga 5.3159 13.2912 1.8822
Ga 4.4976 0.0053 5.4014
Ga 4.4976 7.9813 5.4014
Pt -0.5616 9.5001 6.9486
Pt -0.5616 14.4596 6.9486
Pt 1.0262 9.5115 2.7433
Pt 1.0262 14.4482 2.7433
Pt 2.3868 1.5249 5.6566
Pt 2.3868 6.4616 5.6566
Pt 3.9746 1.5136 1.4513
Pt 3.9746 6.4730 1.4513
```

The 10 most intense peaks (10° ≤ 2θ ≤ 80°), in order of rising 2θ:
- d = 5.698 Å, 15.6°, rel. 31
- d = 4.063 Å, 21.9°, rel. 32
- d = 4.011 Å, 22.2°, rel. 43
- d = 3.993 Å, 22.3°, rel. 28
- d = 2.816 Å, 31.8°, rel. 53
- d = 2.237 Å, 40.3°, rel. 45
- d = 2.138 Å, 42.3°, rel. 33
- d = 2.123 Å, 42.6°, rel. 60
- d = 1.994 Å, 45.5°, rel. 100
- d = 1.953 Å, 46.5°, rel. 57

=====

The following is a theoretical powder XRD pattern of Ga4Pt3. It was derived from a structure optimized by DFT (PBE), using a wavelength of 1.5418 Å.

```
14
Lattice="12.3899 0.0000 0.0000 0.0000 3.6705 0.0000 -2.4740 0.0000 5.7155" Properties=species:S:1:pos:R:3 pbc="T T T"
Ga 0.3526 0.0000 1.7223
Ga -0.1269 1.8353 4.7761
Ga 3.8479 0.0000 0.9393
Ga 3.3684 1.8353 3.9931
Ga 6.5476 1.8353 1.7223
Ga 6.0680 0.0000 4.7761
Ga 10.0429 1.8353 0.9393
Ga 9.5633 0.0000 3.9931
Pt 0.0000 1.8353 0.0000
Pt 2.3356 1.8353 1.7382
Pt 1.3855 0.0000 3.9772
Pt 6.1950 0.0000 0.0000
Pt 8.5305 0.0000 1.7382
Pt 7.5804 1.8353 3.9772
```

The 10 most intense peaks (10° ≤ 2θ ≤ 80°), in order of rising 2θ:
- d = 5.691 Å, 15.6°, rel. 42
- d = 5.192 Å, 17.1°, rel. 64
- d = 3.157 Å, 28.3°, rel. 100
- d = 2.694 Å, 33.3°, rel. 54
- d = 2.277 Å, 39.6°, rel. 62
- d = 2.223 Å, 40.6°, rel. 41
- d = 2.176 Å, 41.5°, rel. 72
- d = 2.090 Å, 43.3°, rel. 48
- d = 2.054 Å, 44.1°, rel. 53
- d = 1.835 Å, 49.7°, rel. 39

=====

The following is a theoretical powder XRD pattern of Ga2Pt. It was derived from a structure optimized by DFT (PBE), using a wavelength of 1.5418 Å.

```
48
Lattice="-4.3246 4.3246 10.9927 4.3246 -4.3246 10.9927 4.3246 4.3246 -10.9927" Properties=species:S:1:pos:R:3 pbc="T T T"
Ga 1.9639 1.7752 -4.1384
Ga 0.3871 -0.1984 1.3580
Ga 4.7117 0.1984 1.3580
Ga 2.3607 -1.7752 6.8543
Ga 1.9609 1.7829 -1.3661
Ga 0.3794 -0.2014 4.1302
Ga 4.7040 0.2014 4.1302
Ga 2.3637 -1.7829 9.6265
Ga 2.3637 1.7829 1.3661
Ga 4.7040 -0.2014 6.8625
Ga 0.3794 0.2014 6.8625
Ga 1.9609 -1.7829 12.3588
Ga 2.3607 1.7752 4.1384
Ga 4.7117 -0.1984 9.6347
Ga 0.3871 0.1984 9.6347
Ga 1.9639 -1.7752 15.1311
Ga 2.3607 6.0998 -4.1384
Ga 3.9375 4.1262 1.3580
Ga -0.3871 4.5230 1.3580
Ga 1.9639 2.5494 6.8543
Ga 2.3637 6.1075 -1.3661
Ga 3.9452 4.1232 4.1302
Ga -0.3794 4.5260 4.1302
Ga 1.9609 2.5417 9.6265
Ga 1.9609 6.1075 1.3661
Ga -0.3794 4.1232 6.8625
Ga 3.9452 4.5260 6.8625
Ga 2.3637 2.5417 12.3588
Ga 1.9639 6.0998 4.1384
Ga -0.3871 4.1262 9.6347
Ga 3.9375 4.5230 9.6347
Ga 2.3607 2.5494 15.1311
Pt 4.3246 2.1623 -5.1354
Pt 2.6342 -0.4719 2.7482
Pt 6.9588 0.4719 2.7482
Pt 4.3246 2.1623 -0.3610
Pt 0.0000 2.1623 0.3610
Pt 2.6342 3.8527 -2.7482
Pt 2.6342 0.4719 8.2445
Pt 0.0000 2.1623 5.1354
Pt 4.3246 2.1623 5.8573
Pt 1.6904 3.8527 2.7482
Pt 1.6904 0.4719 13.7409
Pt 4.3246 2.1623 10.6317
Pt 0.0000 2.1623 11.3537
Pt -2.6342 3.8527 8.2445
Pt 1.6904 4.7965 8.2445
Pt 0.0000 2.1623 16.1280
```

The 10 most intense peaks (10° ≤ 2θ ≤ 80°), in order of rising 2θ:
- d = 3.399 Å, 26.2°, rel. 100
- d = 2.904 Å, 30.8°, rel. 13
- d = 2.192 Å, 41.2°, rel. 23
- d = 2.162 Å, 41.8°, rel. 24
- d = 2.088 Å, 43.3°, rel. 25
- d = 2.068 Å, 43.8°, rel. 19
- d = 2.044 Å, 44.3°, rel. 55
- d = 2.017 Å, 44.9°, rel. 13
- d = 2.004 Å, 45.2°, rel. 13
- d = 1.824 Å, 50.0°, rel. 14

=====

The following is a theoretical powder XRD pattern of PuGa12Pt4. It was derived from a structure optimized by DFT (PBE), using a wavelength of 1.5418 Å.

```
17
Lattice="-4.4112 4.4112 4.4112 4.4112 -4.4112 4.4112 4.4112 4.4112 -4.4112" Properties=species:S:1:pos:R:3 pbc="T T T"
Pu 0.0000 0.0000 0.0000
Ga 3.0464 0.0000 1.3414
Ga 5.7761 0.0000 1.3414
Ga 4.4112 3.0698 -1.3648
Ga 1.3414 3.0464 0.0000
Ga 3.0698 -1.3648 4.4112
Ga 0.0000 1.3414 3.0464
Ga 4.4112 3.0698 1.3648
Ga 1.3414 5.7761 0.0000
Ga 3.0698 1.3648 4.4112
Ga 0.0000 1.3414 5.7761
Ga -1.3648 4.4112 3.0698
Ga 1.3648 4.4112 3.0698
Pt 2.2056 2.2056 -2.2056
Pt 2.2056 -2.2056 2.2056
Pt -2.2056 2.2056 2.2056
Pt 2.2056 2.2056 2.2056
```

The 10 most intense peaks (10° ≤ 2θ ≤ 80°), in order of rising 2θ:
- d = 4.411 Å, 20.1°, rel. 34
- d = 3.119 Å, 28.6°, rel. 100
- d = 2.790 Å, 32.1°, rel. 79
- d = 2.358 Å, 38.2°, rel. 50
- d = 2.206 Å, 40.9°, rel. 20
- d = 1.973 Å, 46.0°, rel. 49
- d = 1.801 Å, 50.7°, rel. 87
- d = 1.730 Å, 52.9°, rel. 32
- d = 1.395 Å, 67.1°, rel. 30
- d = 1.273 Å, 74.5°, rel. 15

=====

The following is a theoretical powder XRD pattern of Pu3Ga3Pt2. It was derived from a structure optimized by DFT (PBE), using a wavelength of 1.5418 Å.

```
32
Lattice="8.1345 0.0000 0.0000 0.0000 15.0007 0.0000 0.0000 0.0000 5.5964" Properties=species:S:1:pos:R:3 pbc="T T T"
Pu 0.3040 1.6149 0.6227
Pu 0.3040 5.8854 0.6227
Pu 1.3632 3.7502 3.4947
Pu 2.7041 11.2505 0.6965
Pu 3.7633 9.1153 3.4209
Pu 3.7633 13.3858 3.4209
Pu 4.3713 1.6149 2.1755
Pu 4.3713 5.8854 2.1755
Pu 5.4305 3.7502 4.8999
Pu 6.7713 11.2505 2.1017
Pu 7.8306 9.1153 4.9737
Pu 7.8306 13.3858 4.9737
Ga 1.4472 11.2505 3.5430
Ga 1.4970 0.5530 3.3474
Ga 1.4970 6.9474 3.3474
Ga 2.5703 8.0533 0.5492
Ga 2.5703 14.4477 0.5492
Ga 2.6200 3.7502 0.7448
Ga 5.5145 11.2505 4.8516
Ga 5.5642 0.5530 5.0472
Ga 5.5642 6.9474 5.0472
Ga 6.6376 8.0533 2.2490
Ga 6.6376 14.4477 2.2490
Ga 6.6873 3.7502 2.0534
Pt 0.8604 9.1593 2.1061
Pt 0.8604 13.3417 2.1061
Pt 3.2069 1.6590 4.9043
Pt 3.2069 5.8414 4.9043
Pt 4.9277 9.1593 0.6921
Pt 4.9277 13.3417 0.6921
Pt 7.2741 1.6590 3.4903
Pt 7.2741 5.8414 3.4903
```

The 10 most intense peaks (10° ≤ 2θ ≤ 80°), in order of rising 2θ:
- d = 3.390 Å, 26.3°, rel. 38
- d = 2.757 Å, 32.5°, rel. 85
- d = 2.606 Å, 34.4°, rel. 100
- d = 2.499 Å, 35.9°, rel. 48
- d = 2.473 Å, 36.3°, rel. 93
- d = 2.440 Å, 36.8°, rel. 65
- d = 2.339 Å, 38.5°, rel. 87
- d = 2.193 Å, 41.2°, rel. 40
- d = 2.162 Å, 41.8°, rel. 40
- d = 1.665 Å, 55.2°, rel. 50

=====

The following is a theoretical powder XRD pattern of PuGa5Pt7. It was derived from a structure optimized by DFT (PBE), using a wavelength of 1.5418 Å.

```
13
Lattice="5.0647 -4.5515 0.0000 5.0647 4.5515 0.0000 -2.7758 0.0000 4.6688" Properties=species:S:1:pos:R:3 pbc="T T T"
Pu 0.0000 0.0000 0.0000
Ga -0.2872 2.1767 4.6060
Ga 6.0884 2.3362 2.2879
Ga -0.2872 -2.1767 4.6060
Ga 7.0136 0.0000 1.3393
Ga 6.0884 -2.3362 2.2879
Pt 3.5050 2.6613 2.2380
Pt 0.2628 0.0000 3.3196
Pt 2.5288 0.0000 1.5129
Pt 5.1173 1.4715 0.0266
Pt 5.1173 -1.4715 0.0266
Pt 4.8057 0.0000 3.3342
Pt 3.5050 -2.6613 2.2380
```

The 10 most intense peaks (10° ≤ 2θ ≤ 80°), in order of rising 2θ:
- d = 2.715 Å, 33.0°, rel. 76
- d = 2.649 Å, 33.8°, rel. 82
- d = 2.591 Å, 34.6°, rel. 28
- d = 2.333 Å, 38.6°, rel. 40
- d = 2.276 Å, 39.6°, rel. 100
- d = 2.250 Å, 40.1°, rel. 93
- d = 2.211 Å, 40.8°, rel. 36
- d = 2.177 Å, 41.5°, rel. 38
- d = 2.077 Å, 43.6°, rel. 46
- d = 2.034 Å, 44.5°, rel. 37

=====

The following is a theoretical powder XRD pattern of Pu3Ga2Pt7. It was derived from a structure optimized by DFT (PBE), using a wavelength of 1.5418 Å.

```
12
Lattice="2.7662 1.5971 8.4658 -2.7662 1.5971 8.4658 0.0000 -3.1941 8.4658" Properties=species:S:1:pos:R:3 pbc="T T T"
Pu 0.0000 0.0000 0.0000
Pu 0.0000 0.0000 3.6074
Pu 0.0000 0.0000 21.7901
Ga 0.0000 0.0000 8.4580
Ga 0.0000 0.0000 16.9394
Pt -1.3893 -0.8021 10.4907
Pt 0.0000 -1.6042 14.9068
Pt -1.3893 0.8021 14.9068
Pt 0.0000 0.0000 12.6987
Pt 1.3893 -0.8021 10.4907
Pt 0.0000 1.6042 10.4907
Pt 1.3893 0.8021 14.9068
```

The 10 most intense peaks (10° ≤ 2θ ≤ 80°), in order of rising 2θ:
- d = 2.892 Å, 30.9°, rel. 38
- d = 2.766 Å, 32.4°, rel. 23
- d = 2.646 Å, 33.9°, rel. 39
- d = 2.385 Å, 37.7°, rel. 58
- d = 2.354 Å, 38.2°, rel. 26
- d = 2.316 Å, 38.9°, rel. 100
- d = 2.167 Å, 41.7°, rel. 31
- d = 1.494 Å, 62.1°, rel. 26
- d = 1.446 Å, 64.4°, rel. 22
- d = 1.383 Å, 67.8°, rel. 32

=====

The following is a theoretical powder XRD pattern of PuGa3Pt5. It was derived from a structure optimized by DFT (PBE), using a wavelength of 1.5418 Å.

```
18
Lattice="1.9485 -6.6229 0.0000 1.9485 6.6229 0.0000 0.0000 0.0000 13.0550" Properties=species:S:1:pos:R:3 pbc="T T T"
Pu 1.9485 5.0312 9.7913
Pu 1.9485 -5.0312 3.2638
Ga 1.9485 4.9124 3.2638
Ga 1.9485 1.6226 0.5015
Ga 1.9485 1.6226 6.0260
Ga 1.9485 -1.6226 7.0290
Ga 1.9485 -1.6226 12.5535
Ga 1.9485 -4.9124 9.7913
Pt 0.0000 0.0000 0.0000
Pt 0.0000 0.0000 6.5275
Pt 1.9485 3.9890 0.9610
Pt 1.9485 3.9890 5.5665
Pt 1.9485 0.5147 8.4610
Pt 1.9485 0.5147 11.1215
Pt 1.9485 -0.5147 1.9335
Pt 1.9485 -0.5147 4.5940
Pt 1.9485 -3.9890 7.4885
Pt 1.9485 -3.9890 12.0941
```

The 10 most intense peaks (10° ≤ 2θ ≤ 80°), in order of rising 2θ:
- d = 3.637 Å, 24.5°, rel. 42
- d = 2.922 Å, 30.6°, rel. 53
- d = 2.851 Å, 31.4°, rel. 63
- d = 2.836 Å, 31.5°, rel. 93
- d = 2.667 Å, 33.6°, rel. 45
- d = 2.459 Å, 36.5°, rel. 100
- d = 2.177 Å, 41.5°, rel. 64
- d = 2.077 Å, 43.6°, rel. 97
- d = 2.067 Å, 43.8°, rel. 40
- d = 1.949 Å, 46.6°, rel. 64

=====

The following is a theoretical powder XRD pattern of Pu3Ga4Pt7. It was derived from a structure optimized by DFT (PBE), using a wavelength of 1.5418 Å.

```
14
Lattice="8.0312 -2.1133 0.0000 8.0312 2.1133 0.0000 -5.5796 0.0000 7.7260" Properties=species:S:1:pos:R:3 pbc="T T T"
Pu 0.0000 0.0000 0.0000
Pu 3.4293 0.0000 2.4192
Pu 7.0536 0.0000 5.3068
Ga -0.1379 0.0000 3.1316
Ga -0.2754 0.0000 7.4898
Ga 10.7583 0.0000 0.2362
Ga 10.6209 0.0000 4.5944
Pt -2.7898 0.0000 3.8630
Pt -2.7750 0.0000 6.6178
Pt 1.1458 0.0000 5.4124
Pt 3.9076 0.0000 5.4215
Pt 6.5753 0.0000 2.3045
Pt 9.3371 0.0000 2.3136
Pt 13.2579 0.0000 1.1082
```

The 10 most intense peaks (10° ≤ 2θ ≤ 80°), in order of rising 2θ:
- d = 3.325 Å, 26.8°, rel. 16
- d = 3.028 Å, 29.5°, rel. 17
- d = 2.564 Å, 35.0°, rel. 56
- d = 2.548 Å, 35.2°, rel. 100
- d = 2.539 Å, 35.3°, rel. 18
- d = 2.372 Å, 37.9°, rel. 17
- d = 2.217 Å, 40.7°, rel. 23
- d = 2.170 Å, 41.6°, rel. 24
- d = 2.113 Å, 42.8°, rel. 45
- d = 2.004 Å, 45.2°, rel. 16

=====

The following is a theoretical powder XRD pattern of PuGa3Pt3. It was derived from a structure optimized by DFT (PBE), using a wavelength of 1.5418 Å.

```
14
Lattice="6.8670 0.0000 0.0000 0.0000 6.8670 0.0000 0.0000 0.0000 6.8670" Properties=species:S:1:pos:R:3 pbc="T T T"
Pu 0.0000 0.0000 0.0000
Pu 3.4335 3.4335 3.4335
Ga 0.0000 1.7167 3.4335
Ga 0.0000 5.1502 3.4335
Ga 1.7167 3.4335 0.0000
Ga 3.4335 0.0000 1.7167
Ga 3.4335 0.0000 5.1502
Ga 5.1502 3.4335 0.0000
Pt 0.0000 3.4335 1.7167
Pt 0.0000 3.4335 5.1502
Pt 1.7167 0.0000 3.4335
Pt 3.4335 1.7167 0.0000
Pt 3.4335 5.1502 0.0000
Pt 5.1502 0.0000 3.4335
```

The 10 most intense peaks (10° ≤ 2θ ≤ 80°), in order of rising 2θ:
- d = 3.433 Å, 26.0°, rel. 42
- d = 3.071 Å, 29.1°, rel. 28
- d = 2.803 Å, 31.9°, rel. 100
- d = 1.982 Å, 45.8°, rel. 16
- d = 1.835 Å, 49.7°, rel. 59
- d = 1.717 Å, 53.4°, rel. 25
- d = 1.536 Å, 60.3°, rel. 17
- d = 1.464 Å, 63.5°, rel. 14
- d = 1.254 Å, 75.9°, rel. 17
- d = 1.214 Å, 78.8°, rel. 16